Entry 1:
Structure and simulated X-ray powder pattern of Li6CuS4 (a cell relaxed with GGA-PBE; copper Kα).
Peak positions follow from Bragg's law for the DFT cell and can differ from measured ones.

Atomic structure:
```
data_Li6CuS4
_chemical_formula_sum 'Li12 Cu2 S8'
_cell_length_a 3.564
_cell_length_b 13.145
_cell_length_c 7.222
_cell_angle_alpha 90.00
_cell_angle_beta 90.00
_cell_angle_gamma 90.00
_space_group_name_H-M_alt 'I m m 2'
_space_group_IT_number 44
loop_
_space_group_symop_operation_xyz
'x,y,z'
'-x,-y,z'
'-x,y,z'
'x,-y,z'
'x+1/2,y+1/2,z+1/2'
'-x+1/2,-y+1/2,z+1/2'
'-x+1/2,y+1/2,z+1/2'
'x+1/2,-y+1/2,z+1/2'
loop_
_atom_site_label
_atom_site_type_symbol
_atom_site_fract_x
_atom_site_fract_y
_atom_site_fract_z
Li1 Li 0.000 0.118 0.000
Li2 Li 0.000 0.314 0.792
Li3 Li 0.000 0.356 0.174
Cu1 Cu 0.000 0.000 0.433
S1 S 0.000 0.000 0.738
S2 S 0.000 0.253 0.477
S3 S 0.000 0.500 0.745
```

Main lines, low angle first (10° ≤ 2θ ≤ 90°):
- hkl 0 2 0, 13.5°, d 6.572, intensity 45
- hkl 0 1 1, 14.0°, d 6.329, intensity 100
- hkl 0 3 1, 23.8°, d 3.746, intensity 39
- hkl 0 4 0, 27.1°, d 3.286, intensity 88
- hkl 1 0 1, 27.9°, d 3.196, intensity 69
- hkl 1 4 1, 39.3°, d 2.291, intensity 82
- hkl 1 0 3, 45.5°, d 1.995, intensity 38
- hkl 1 4 3, 53.8°, d 1.705, intensity 41

***

Entry 2:
Structure and simulated X-ray powder pattern of NaSi2Pt2 (a cell relaxed with GGA-PBE; copper Kα).
Peak positions follow from Bragg's law for the DFT cell and can differ from measured ones.

Atomic structure:
```
data_NaSi2Pt2
_chemical_formula_sum 'Na2 Si4 Pt4'
_cell_length_a 5.237
_cell_length_b 5.253
_cell_length_c 8.004
_cell_angle_alpha 99.99
_cell_angle_beta 99.88
_cell_angle_gamma 117.93
_space_group_name_H-M_alt 'P -1'
_space_group_IT_number 2
loop_
_space_group_symop_operation_xyz
'x,y,z'
'-x,-y,-z'
loop_
_atom_site_label
_atom_site_type_symbol
_atom_site_fract_x
_atom_site_fract_y
_atom_site_fract_z
Na1 Na 0.125 0.375 0.250
Si1 Si 0.247 0.998 0.496
Si2 Si 0.498 0.747 0.995
Pt1 Pt 0.208 0.290 0.751
Pt2 Pt 0.458 0.040 0.250
```

Main lines, low angle first (10° ≤ 2θ ≤ 90°):
- hkl 0 1 -1, 20.0°, d 4.430, intensity 100
- hkl -1 1 1, 23.0°, d 3.861, intensity 44
- hkl 0 0 2, 23.6°, d 3.771, intensity 92
- hkl 2 -1 0, 34.7°, d 2.584, intensity 58
- hkl 1 1 -2, 35.3°, d 2.546, intensity 91
- hkl 2 -1 1, 38.7°, d 2.326, intensity 64
- hkl -1 2 2, 45.8°, d 1.980, intensity 46
- hkl -2 1 3, 46.0°, d 1.975, intensity 26

***

Entry 3:
Structure and simulated X-ray powder pattern of Li2YErSe4 (a cell relaxed with GGA-PBE; copper Kα).
Peak positions follow from Bragg's law for the DFT cell and can differ from measured ones.

Atomic structure:
```
data_Li2YErSe4
_chemical_formula_sum 'Li2 Y1 Er1 Se4'
_cell_length_a 6.901
_cell_length_b 4.056
_cell_length_c 7.022
_cell_angle_alpha 90.00
_cell_angle_beta 109.78
_cell_angle_gamma 90.00
_space_group_name_H-M_alt 'P 1 2/m 1'
_space_group_IT_number 10
loop_
_space_group_symop_operation_xyz
'x,y,z'
'-x,-y,-z'
'-x,y,-z'
'x,-y,z'
loop_
_atom_site_label
_atom_site_type_symbol
_atom_site_fract_x
_atom_site_fract_y
_atom_site_fract_z
Li1 Li 0.000 0.000 0.000
Li2 Li 0.000 0.500 0.500
Y1 Y 0.500 0.000 0.500
Er1 Er 0.500 0.500 0.000
Se1 Se 0.247 0.500 0.247
Se2 Se 0.248 0.000 0.752
```

Main lines, low angle first (10° ≤ 2θ ≤ 90°):
- hkl 1 0 0, 13.6°, d 6.494, intensity 41
- hkl 1 0 -2, 25.8°, d 3.456, intensity 30
- hkl 1 1 1, 31.4°, d 2.849, intensity 100
- hkl 0 2 0, 44.7°, d 2.027, intensity 37
- hkl 2 0 2, 45.3°, d 2.001, intensity 36
- hkl 0 0 4, 55.6°, d 1.652, intensity 19
- hkl 1 3 1, 74.0°, d 1.281, intensity 16
- hkl 4 2 0, 74.9°, d 1.267, intensity 16